This entry pairs a crystal structure of NaGdF4 with its computed PXRD pattern. Radiation: a wavelength of 1.5418 Å. Structure: the GGA-PBE geometry in the Materials Project.
Intensities are scaled so that the largest is 100.

a b c (Å): 6.1159 7.0654 7.0737
angles (deg): 62.22 64.55 64.62
Space group P1 (No. 1)
One atom of each set of equivalent atoms:
Na1 0.0000 0.0000 0.0000 x1
Na2 0.0062 0.5183 0.5176 x1
Na3 0.6699 0.9102 0.7746 x1
Gd1 0.3382 0.9882 0.3638 x1
Gd2 0.3420 0.4882 0.8603 x1
Gd3 0.6768 0.4082 0.2717 x1
F1 0.0932 0.7389 0.6113 x1
F2 0.0945 0.2254 0.0945 x1
F3 0.3227 0.3732 0.2417 x1
F4 0.3275 0.8682 0.7407 x1
F5 0.3807 0.7626 0.1841 x1
F6 0.3835 0.3166 0.6285 x1
F7 0.5878 0.1153 0.9884 x1
F8 0.6123 0.6191 0.4874 x1
F9 0.7037 0.0345 0.3554 x1
F10 0.7064 0.4887 0.8977 x1
F11 0.9363 0.2004 0.5150 x1
F12 0.9381 0.6496 0.0639 x1

Largest 12 diffraction maxima, by angle, 10 to 80 degrees two-theta:
| h k l | 2θ (°) | I_rel |
| --- | --- | --- |
| 0 1 0 | 14.8 | 36.4 |
| 1 1 1 | 16.8 | 85.4 |
| 0 1 1 | 16.9 | 43.6 |
| 2 1 1 | 29.2 | 36.6 |
| -1 1 1 | 29.4 | 35.6 |
| 1 1 -1 | 29.7 | 100.0 |
| 0 2 0 | 29.8 | 48.9 |
| 2 -1 1 | 42.2 | 36.0 |
| 2 3 1 | 42.3 | 36.5 |
| 0 1 3 | 42.5 | 37.0 |
| 3 3 3 | 52.1 | 42.7 |
| 0 3 3 | 52.5 | 51.0 |

This entry pairs a crystal structure of Na5Gd4Si4O16F with its computed PXRD pattern. Radiation: a wavelength of 1.5418 Å. Structure: the GGA-PBE geometry in the Materials Project.
Intensities are scaled so that the largest is 100.

a b c (Å): 11.8089 11.8089 5.4745
angles (deg): 90.00 90.00 90.00
Space group I-4 (No. 82)
One atom of each set of equivalent atoms:
Na1 0.0000 0.0000 0.0000 x2
Na2 0.0895 0.3951 0.5078 x8
Gd1 0.1161 0.8166 0.5216 x8
Si1 0.1032 0.2469 0.0099 x8
O1 0.0346 0.2065 0.2558 x8
O2 0.0480 0.1883 0.7660 x8
O3 0.1082 0.3861 0.9861 x8
O4 0.2027 0.7656 0.9405 x8
F1 0.0000 0.0000 0.5000 x2

Largest 12 diffraction maxima, by angle, 10 to 80 degrees two-theta:
| h k l | 2θ (°) | I_rel |
| --- | --- | --- |
| 1 1 0 | 10.6 | 58.3 |
| 1 0 1 | 17.9 | 100.0 |
| 1 2 1 | 23.4 | 50.9 |
| 1 3 0 | 23.8 | 52.0 |
| 3 0 1 | 27.9 | 67.9 |
| 3 2 1 | 31.8 | 78.1 |
| 0 0 2 | 32.7 | 48.9 |
| 4 2 0 | 33.9 | 35.9 |
| 1 4 1 | 35.4 | 61.2 |
| 4 3 1 | 41.6 | 40.6 |
| 4 2 2 | 47.9 | 46.7 |
| 1 6 1 | 49.8 | 40.7 |